Record 1
# RbPb5
Computed powder X-ray diffraction pattern, Cu Kα. Input: a cell relaxed with GGA-PBE.

Cell and atoms:
```
data_RbPb5
_chemical_formula_sum 'Rb2 Pb10'
_cell_length_a 8.096
_cell_length_b 5.661
_cell_length_c 9.500
_cell_angle_alpha 90.00
_cell_angle_beta 90.00
_cell_angle_gamma 90.00
_symmetry_space_group_name_H-M 'P m m a'
_symmetry_Int_Tables_number 51
loop_
_symmetry_equiv_pos_as_xyz
'x,y,z'
'-x,-y,-z'
'-x+1/2,-y,z'
'x+1/2,y,-z'
'x+1/2,-y,-z'
'-x+1/2,y,z'
'-x,y,-z'
'x,-y,z'
loop_
_atom_site_label
_atom_site_type_symbol
_atom_site_fract_x
_atom_site_fract_y
_atom_site_fract_z
Rb1 Rb 0.250 0.000 0.149
Pb1 Pb 0.000 0.000 0.500
Pb2 Pb 0.052 0.500 0.825
Pb3 Pb 0.250 0.000 0.767
Pb4 Pb 0.250 0.500 0.501
```

The 12 most intense peaks (2θ = 15–90°), low angle first:
- (0 0 3), d = 3.167 Å, 2θ 28.18, intensity 50
- (2 1 1), d = 3.111 Å, 2θ 28.69, intensity 82
- (0 2 0), d = 2.831 Å, 2θ 31.61, intensity 50
- (2 1 2), d = 2.706 Å, 2θ 33.10, intensity 100
- (3 1 1), d = 2.360 Å, 2θ 38.14, intensity 19
- (0 2 3), d = 2.111 Å, 2θ 42.85, intensity 34
- (4 0 0), d = 2.024 Å, 2θ 44.78, intensity 10
- (2 1 4), d = 1.926 Å, 2θ 47.18, intensity 8
- (2 3 1), d = 1.683 Å, 2θ 54.51, intensity 14
- (4 2 0), d = 1.646 Å, 2θ 55.86, intensity 29
- (2 3 2), d = 1.609 Å, 2θ 57.25, intensity 21
- (4 2 3), d = 1.461 Å, 2θ 63.71, intensity 10


Record 2
# Rb5Pb4
Computed powder X-ray diffraction pattern, Cu Kα. Input: a cell relaxed with GGA-PBE.

Cell and atoms:
```
data_Rb5Pb4
_chemical_formula_sum 'Rb10 Pb8'
_cell_length_a 12.523
_cell_length_b 6.355
_cell_length_c 11.960
_cell_angle_alpha 90.00
_cell_angle_beta 115.08
_cell_angle_gamma 90.00
_symmetry_space_group_name_H-M 'C 1 2/m 1'
_symmetry_Int_Tables_number 12
loop_
_symmetry_equiv_pos_as_xyz
'x,y,z'
'-x,-y,-z'
'-x,y,-z'
'x,-y,z'
'x+1/2,y+1/2,z'
'-x+1/2,-y+1/2,-z'
'-x+1/2,y+1/2,-z'
'x+1/2,-y+1/2,z'
loop_
_atom_site_label
_atom_site_type_symbol
_atom_site_fract_x
_atom_site_fract_y
_atom_site_fract_z
Rb1 Rb 0.000 0.000 0.000
Rb2 Rb 0.115 0.500 0.852
Rb3 Rb 0.197 0.500 0.548
Pb1 Pb 0.039 0.000 0.643
Pb2 Pb 0.207 0.500 0.204
```

The 12 most intense peaks (2θ = 15–90°), low angle first:
- (1 1 -1), d = 5.411 Å, 2θ 16.38, intensity 81
- (2 0 -2), d = 5.159 Å, 2θ 17.19, intensity 17
- (3 1 -2), d = 3.382 Å, 2θ 26.35, intensity 21
- (1 1 -3), d = 3.361 Å, 2θ 26.52, intensity 100
- (3 1 0), d = 3.249 Å, 2θ 27.45, intensity 70
- (0 2 0), d = 3.177 Å, 2θ 28.08, intensity 60
- (4 0 -1), d = 3.082 Å, 2θ 28.97, intensity 19
- (2 0 3), d = 2.589 Å, 2θ 34.65, intensity 27
- (3 1 2), d = 2.424 Å, 2θ 37.09, intensity 21
- (4 2 -1), d = 2.212 Å, 2θ 40.79, intensity 23
- (2 2 3), d = 2.007 Å, 2θ 45.18, intensity 26
- (1 3 -3), d = 1.868 Å, 2θ 48.76, intensity 19


Record 3
# Rb2RePbS4
Computed powder X-ray diffraction pattern, Cu Kα. Input: a cell relaxed with GGA-PBE.

Cell and atoms:
```
data_Rb2RePbS4
_chemical_formula_sum 'Rb4 Re2 Pb2 S8'
_cell_length_a 7.946
_cell_length_b 7.946
_cell_length_c 8.243
_cell_angle_alpha 90.00
_cell_angle_beta 90.00
_cell_angle_gamma 90.00
_symmetry_space_group_name_H-M 'I -4'
_symmetry_Int_Tables_number 82
loop_
_symmetry_equiv_pos_as_xyz
'x,y,z'
'y,-x,-z'
'-x,-y,z'
'-y,x,-z'
'x+1/2,y+1/2,z+1/2'
'y+1/2,-x+1/2,-z+1/2'
'-x+1/2,-y+1/2,z+1/2'
'-y+1/2,x+1/2,-z+1/2'
loop_
_atom_site_label
_atom_site_type_symbol
_atom_site_fract_x
_atom_site_fract_y
_atom_site_fract_z
Rb1 Rb 0.000 0.000 0.000
Rb2 Rb 0.000 0.500 0.250
Re1 Re 0.000 0.000 0.500
Pb1 Pb 0.000 0.500 0.750
S1 S 0.146 0.190 0.640
```

The 12 most intense peaks (2θ = 15–90°), low angle first:
- (1 0 1), d = 5.721 Å, 2θ 15.49, intensity 41
- (2 0 0), d = 3.973 Å, 2θ 22.38, intensity 59
- (1 1 2), d = 3.323 Å, 2θ 26.83, intensity 100
- (2 1 1), d = 3.263 Å, 2θ 27.33, intensity 12
- (2 2 0), d = 2.809 Å, 2θ 31.86, intensity 35
- (3 1 2), d = 2.145 Å, 2θ 42.12, intensity 62
- (2 0 4), d = 1.829 Å, 2θ 49.85, intensity 22
- (2 4 0), d = 1.777 Å, 2θ 51.43, intensity 19
- (3 3 2), d = 1.705 Å, 2θ 53.76, intensity 14
- (2 2 4), d = 1.662 Å, 2θ 55.29, intensity 13
- (1 5 2), d = 1.458 Å, 2θ 63.86, intensity 17
- (5 3 2), d = 1.294 Å, 2θ 73.15, intensity 12


Record 4
# Rb2RhPb
Computed powder X-ray diffraction pattern, Cu Kα. Input: a cell relaxed with GGA-PBE.

Cell and atoms:
```
data_Rb2RhPb
_chemical_formula_sum 'Rb8 Rh4 Pb4'
_cell_length_a 12.568
_cell_length_b 12.568
_cell_length_c 5.178
_cell_angle_alpha 90.00
_cell_angle_beta 90.00
_cell_angle_gamma 90.00
_symmetry_space_group_name_H-M 'I -4 2 d'
_symmetry_Int_Tables_number 122
_symmetry_space_group_name_Hall 'I -4 2bw'
loop_
_atom_site_label
_atom_site_type_symbol
_atom_site_fract_x
_atom_site_fract_y
_atom_site_fract_z
Rb1 Rb 0.078 0.250 0.125
Rh1 Rh 0.000 0.000 0.000
Pb1 Pb 0.000 0.000 0.500
```

The 12 most intense peaks (2θ = 15–90°), low angle first:
- (2 2 0), d = 4.443 Å, 2θ 19.98, intensity 46
- (3 1 0), d = 3.974 Å, 2θ 22.37, intensity 26
- (2 1 1), d = 3.808 Å, 2θ 23.36, intensity 75
- (4 0 0), d = 3.142 Å, 2θ 28.41, intensity 58
- (4 2 0), d = 2.810 Å, 2θ 31.84, intensity 100
- (1 1 2), d = 2.486 Å, 2θ 36.14, intensity 48
- (3 1 2), d = 2.169 Å, 2θ 41.63, intensity 62
- (6 2 0), d = 1.987 Å, 2θ 45.65, intensity 29
- (3 3 2), d = 1.949 Å, 2θ 46.59, intensity 29
- (5 1 2), d = 1.785 Å, 2θ 51.17, intensity 37
- (5 3 2), d = 1.656 Å, 2θ 55.47, intensity 27
- (5 5 2), d = 1.465 Å, 2θ 63.49, intensity 28


Record 5
# Rb3PbS4
Computed powder X-ray diffraction pattern, Cu Kα. Input: a cell relaxed with GGA-PBE.

Cell and atoms:
```
data_Rb3PbS4
_chemical_formula_sum 'Rb6 Pb2 S8'
_cell_length_a 5.018
_cell_length_b 6.142
_cell_length_c 17.547
_cell_angle_alpha 90.00
_cell_angle_beta 90.00
_cell_angle_gamma 90.00
_symmetry_space_group_name_H-M 'I m m m'
_symmetry_Int_Tables_number 71
_symmetry_space_group_name_Hall '-I 2 2'
loop_
_atom_site_label
_atom_site_type_symbol
_atom_site_fract_x
_atom_site_fract_y
_atom_site_fract_z
Rb1 Rb 0.000 0.000 0.000
Rb2 Rb 0.000 0.500 0.194
Pb1 Pb 0.000 0.000 0.500
S1 S 0.000 0.323 0.378
```

The 12 most intense peaks (2θ = 15–90°), low angle first:
- (0 1 1), d = 5.797 Å, 2θ 15.28, intensity 14
- (1 0 1), d = 4.825 Å, 2θ 18.39, intensity 15
- (1 1 2), d = 3.553 Å, 2θ 25.06, intensity 100
- (0 2 0), d = 3.071 Å, 2θ 29.08, intensity 14
- (0 1 5), d = 3.047 Å, 2θ 29.31, intensity 21
- (1 1 4), d = 2.909 Å, 2θ 30.74, intensity 35
- (2 0 0), d = 2.512 Å, 2θ 35.74, intensity 38
- (1 2 3), d = 2.391 Å, 2θ 37.63, intensity 20
- (1 1 8), d = 1.910 Å, 2θ 47.61, intensity 16
- (1 3 2), d = 1.853 Å, 2θ 49.18, intensity 17
- (2 2 4), d = 1.776 Å, 2θ 51.44, intensity 12
- (1 3 8), d = 1.434 Å, 2θ 65.03, intensity 13


Record 6
# Rb3PbS3
Computed powder X-ray diffraction pattern, Cu Kα. Input: a cell relaxed with GGA-PBE.

Cell and atoms:
```
data_Rb3PbS3
_chemical_formula_sum 'Rb12 Pb4 S12'
_cell_length_a 9.628
_cell_length_b 8.377
_cell_length_c 13.246
_cell_angle_alpha 90.00
_cell_angle_beta 95.43
_cell_angle_gamma 90.00
_symmetry_space_group_name_H-M 'P 1 21/c 1'
_symmetry_Int_Tables_number 14
loop_
_symmetry_equiv_pos_as_xyz
'x,y,z'
'-x,-y,-z'
'-x,y+1/2,-z+1/2'
'x,-y+1/2,z+1/2'
loop_
_atom_site_label
_atom_site_type_symbol
_atom_site_fract_x
_atom_site_fract_y
_atom_site_fract_z
Rb1 Rb 0.079 0.157 0.135
Rb2 Rb 0.339 0.732 0.799
Rb3 Rb 0.392 0.229 0.924
Pb1 Pb 0.165 0.596 0.058
S1 S 0.105 0.037 0.374
S2 S 0.262 0.617 0.524
S3 S 0.356 0.076 0.660
```

The 12 most intense peaks (2θ = 15–90°), low angle first:
- (1 1 -1), d = 5.833 Å, 2θ 15.19, intensity 23
- (1 0 -2), d = 5.689 Å, 2θ 15.58, intensity 27
- (2 0 -2), d = 4.064 Å, 2θ 21.87, intensity 24
- (2 0 2), d = 3.714 Å, 2θ 23.96, intensity 68
- (1 2 1), d = 3.651 Å, 2θ 24.38, intensity 100
- (0 1 4), d = 3.068 Å, 2θ 29.11, intensity 53
- (1 0 4), d = 3.029 Å, 2θ 29.49, intensity 55
- (3 0 -2), d = 2.986 Å, 2θ 29.92, intensity 25
- (2 2 -2), d = 2.917 Å, 2θ 30.65, intensity 20
- (1 3 2), d = 2.461 Å, 2θ 36.52, intensity 37
- (2 1 -5), d = 2.315 Å, 2θ 38.90, intensity 23
- (3 3 4), d = 1.723 Å, 2θ 53.14, intensity 21


Record 7
# RbSr2PbS4
Computed powder X-ray diffraction pattern, Cu Kα. Input: a cell relaxed with GGA-PBE.

Cell and atoms:
```
data_RbSr2PbS4
_chemical_formula_sum 'Rb4 Sr8 Pb4 S16'
_cell_length_a 8.659
_cell_length_b 8.758
_cell_length_c 12.242
_cell_angle_alpha 90.00
_cell_angle_beta 90.00
_cell_angle_gamma 90.00
_symmetry_space_group_name_H-M 'I m m a'
_symmetry_Int_Tables_number 74
_symmetry_space_group_name_Hall '-I 2b 2'
loop_
_atom_site_label
_atom_site_type_symbol
_atom_site_fract_x
_atom_site_fract_y
_atom_site_fract_z
Rb1 Rb 0.250 0.250 0.250
Sr1 Sr 0.000 0.000 0.000
Sr2 Sr 0.250 0.250 0.750
Pb1 Pb 0.000 0.000 0.500
S1 S 0.000 0.022 0.745
S2 S 0.249 0.250 0.510
```

The 12 most intense peaks (2θ = 15–90°), low angle first:
- (0 2 2), d = 3.561 Å, 2θ 25.00, intensity 44
- (2 0 2), d = 3.535 Å, 2θ 25.19, intensity 42
- (2 2 0), d = 3.079 Å, 2θ 29.00, intensity 100
- (0 0 4), d = 3.061 Å, 2θ 29.18, intensity 49
- (0 4 0), d = 2.190 Å, 2θ 41.23, intensity 18
- (2 2 4), d = 2.171 Å, 2θ 41.61, intensity 73
- (4 0 0), d = 2.165 Å, 2θ 41.72, intensity 18
- (0 2 6), d = 1.850 Å, 2θ 49.26, intensity 23
- (0 4 4), d = 1.781 Å, 2θ 51.31, intensity 19
- (4 0 4), d = 1.767 Å, 2θ 51.72, intensity 19
- (6 2 0), d = 1.370 Å, 2θ 68.46, intensity 24
- (6 2 4), d = 1.251 Å, 2θ 76.12, intensity 18


Record 8
# Rb2TiPbS4
Computed powder X-ray diffraction pattern, Cu Kα. Input: a cell relaxed with GGA-PBE.

Cell and atoms:
```
data_Rb2TiPbS4
_chemical_formula_sum 'Rb4 Ti2 Pb2 S8'
_cell_length_a 9.416
_cell_length_b 8.838
_cell_length_c 6.845
_cell_angle_alpha 90.00
_cell_angle_beta 90.00
_cell_angle_gamma 90.00
_symmetry_space_group_name_H-M 'P m n 21'
_symmetry_Int_Tables_number 31
loop_
_symmetry_equiv_pos_as_xyz
'x,y,z'
'-x+1/2,-y,z+1/2'
'-x,y,z'
'x+1/2,-y,z+1/2'
loop_
_atom_site_label
_atom_site_type_symbol
_atom_site_fract_x
_atom_site_fract_y
_atom_site_fract_z
Rb1 Rb 0.246 0.170 0.000
Ti1 Ti 0.000 0.656 0.043
Pb1 Pb 0.000 0.340 0.516
S1 S 0.000 0.420 0.899
S2 S 0.000 0.618 0.373
S3 S 0.200 0.793 0.982
```

The 12 most intense peaks (2θ = 15–90°), low angle first:
- (0 2 0), d = 4.419 Å, 2θ 20.09, intensity 30
- (2 1 0), d = 4.155 Å, 2θ 21.38, intensity 77
- (0 2 1), d = 3.713 Å, 2θ 23.97, intensity 61
- (2 1 1), d = 3.552 Å, 2θ 25.07, intensity 100
- (0 0 2), d = 3.423 Å, 2θ 26.03, intensity 68
- (2 1 2), d = 2.642 Å, 2θ 33.93, intensity 31
- (1 3 1), d = 2.601 Å, 2θ 34.48, intensity 34
- (2 3 0), d = 2.497 Å, 2θ 35.96, intensity 55
- (4 0 0), d = 2.354 Å, 2θ 38.23, intensity 26
- (2 3 2), d = 2.017 Å, 2θ 44.93, intensity 52
- (2 1 3), d = 2.000 Å, 2θ 45.34, intensity 33
- (4 2 1), d = 1.988 Å, 2θ 45.63, intensity 26


Record 9
# Rb2UPbS4
Computed powder X-ray diffraction pattern, Cu Kα. Input: a cell relaxed with GGA-PBE.

Cell and atoms:
```
data_Rb2UPbS4
_chemical_formula_sum 'Rb2 U1 Pb1 S4'
_cell_length_a 7.413
_cell_length_b 4.206
_cell_length_c 7.975
_cell_angle_alpha 90.00
_cell_angle_beta 107.33
_cell_angle_gamma 90.00
_symmetry_space_group_name_H-M 'P 1 2/m 1'
_symmetry_Int_Tables_number 10
loop_
_symmetry_equiv_pos_as_xyz
'x,y,z'
'-x,-y,-z'
'-x,y,-z'
'x,-y,z'
loop_
_atom_site_label
_atom_site_type_symbol
_atom_site_fract_x
_atom_site_fract_y
_atom_site_fract_z
Rb1 Rb 0.000 0.000 0.000
Rb2 Rb 0.500 0.500 0.000
U1 U 0.000 0.500 0.500
Pb1 Pb 0.500 0.000 0.500
S1 S 0.209 0.000 0.692
S2 S 0.236 0.500 0.303
```

The 12 most intense peaks (2θ = 15–90°), low angle first:
- (0 0 2), d = 3.807 Å, 2θ 23.37, intensity 26
- (1 1 0), d = 3.615 Å, 2θ 24.63, intensity 11
- (2 0 0), d = 3.538 Å, 2θ 25.17, intensity 20
- (1 1 -1), d = 3.477 Å, 2θ 25.62, intensity 38
- (1 1 1), d = 3.089 Å, 2θ 28.90, intensity 100
- (2 0 2), d = 2.275 Å, 2θ 39.61, intensity 13
- (1 1 -3), d = 2.244 Å, 2θ 40.19, intensity 24
- (3 1 -1), d = 2.130 Å, 2θ 42.43, intensity 23
- (0 2 0), d = 2.103 Å, 2θ 43.01, intensity 12
- (1 1 3), d = 1.943 Å, 2θ 46.76, intensity 11
- (2 2 -2), d = 1.739 Å, 2θ 52.64, intensity 12
- (2 2 2), d = 1.545 Å, 2θ 59.88, intensity 11


Record 10
# RbU2Pb2S7
Computed powder X-ray diffraction pattern, Cu Kα. Input: a cell relaxed with GGA-PBE.

Cell and atoms:
```
data_RbU2Pb2S7
_chemical_formula_sum 'Rb2 U4 Pb4 S14'
_cell_length_a 5.295
_cell_length_b 5.603
_cell_length_c 23.983
_cell_angle_alpha 90.00
_cell_angle_beta 90.00
_cell_angle_gamma 90.00
_symmetry_space_group_name_H-M 'I m m m'
_symmetry_Int_Tables_number 71
_symmetry_space_group_name_Hall '-I 2 2'
loop_
_atom_site_label
_atom_site_type_symbol
_atom_site_fract_x
_atom_site_fract_y
_atom_site_fract_z
Rb1 Rb 0.000 0.000 0.000
U1 U 0.000 0.000 0.392
Pb1 Pb 0.000 0.500 0.272
S1 S 0.000 0.000 0.280
S2 S 0.000 0.000 0.500
S3 S 0.000 0.500 0.110
S4 S 0.000 0.500 0.389
```

The 12 most intense peaks (2θ = 15–90°), low angle first:
- (1 0 1), d = 5.170 Å, 2θ 17.15, intensity 56
- (1 0 3), d = 4.414 Å, 2θ 20.12, intensity 60
- (0 0 6), d = 3.997 Å, 2θ 22.24, intensity 32
- (1 1 2), d = 3.664 Å, 2θ 24.29, intensity 100
- (0 1 5), d = 3.644 Å, 2θ 24.43, intensity 87
- (1 1 4), d = 3.239 Å, 2θ 27.54, intensity 56
- (0 2 0), d = 2.801 Å, 2θ 31.95, intensity 65
- (2 0 0), d = 2.647 Å, 2θ 33.86, intensity 56
- (1 0 9), d = 2.381 Å, 2θ 37.79, intensity 50
- (2 1 5), d = 2.142 Å, 2θ 42.19, intensity 44
- (2 2 0), d = 1.924 Å, 2θ 47.24, intensity 44
- (1 2 9), d = 1.814 Å, 2θ 50.30, intensity 38


Record 11
# RbSbPb3
Computed powder X-ray diffraction pattern, Cu Kα. Input: a cell relaxed with GGA-PBE.

Cell and atoms:
```
data_RbSbPb3
_chemical_formula_sum 'Rb1 Sb1 Pb3'
_cell_length_a 5.153
_cell_length_b 5.153
_cell_length_c 7.126
_cell_angle_alpha 90.00
_cell_angle_beta 90.00
_cell_angle_gamma 90.00
_symmetry_space_group_name_H-M 'P 4 m m'
_symmetry_Int_Tables_number 99
loop_
_symmetry_equiv_pos_as_xyz
'x,y,z'
'-y,x,z'
'-x,-y,z'
'y,-x,z'
'-x,y,z'
'y,x,z'
'x,-y,z'
'-y,-x,z'
loop_
_atom_site_label
_atom_site_type_symbol
_atom_site_fract_x
_atom_site_fract_y
_atom_site_fract_z
Rb1 Rb 0.000 0.000 0.000
Sb1 Sb 0.500 0.500 0.194
Pb1 Pb 0.000 0.500 0.483
Pb2 Pb 0.500 0.500 0.775
```

The 12 most intense peaks (2θ = 15–90°), low angle first:
- (1 0 0), d = 5.153 Å, 2θ 17.21, intensity 25
- (1 1 1), d = 3.244 Å, 2θ 27.49, intensity 100
- (1 0 2), d = 2.931 Å, 2θ 30.50, intensity 32
- (2 0 0), d = 2.576 Å, 2θ 34.82, intensity 54
- (1 1 2), d = 2.547 Å, 2θ 35.23, intensity 58
- (2 1 2), d = 1.935 Å, 2θ 46.96, intensity 19
- (2 2 0), d = 1.822 Å, 2θ 50.07, intensity 20
- (2 0 3), d = 1.746 Å, 2θ 52.39, intensity 16
- (3 1 1), d = 1.588 Å, 2θ 58.07, intensity 26
- (3 1 2), d = 1.482 Å, 2θ 62.70, intensity 23
- (2 0 4), d = 1.465 Å, 2θ 63.49, intensity 13
- (1 1 5), d = 1.327 Å, 2θ 71.03, intensity 19


Record 12
# Rb2Sb7Pb12
Computed powder X-ray diffraction pattern, Cu Kα. Input: a cell relaxed with GGA-PBE.

Cell and atoms:
```
data_Rb2Sb7Pb12
_chemical_formula_sum 'Rb2 Sb7 Pb12'
_cell_length_a 13.6176
_cell_length_b 13.6176
_cell_length_c 4.5981
_cell_angle_alpha 90.00
_cell_angle_beta 90.00
_cell_angle_gamma 120.00
_symmetry_space_group_name_H-M 'P -3'
_symmetry_Int_Tables_number 147
loop_
_symmetry_equiv_pos_as_xyz
'x,y,z'
'-x,-y,-z'
'-y,x-y,z'
'y,-x+y,-z'
'-x+y,-x,z'
'x-y,x,-z'
loop_
_atom_site_label
_atom_site_type_symbol
_atom_site_fract_x
_atom_site_fract_y
_atom_site_fract_z
Rb1 Rb 0.3333 0.6667 0.2306
Sb1 Sb 0.0000 0.0000 0.5000
Sb2 Sb 0.1345 0.7208 0.7265
Pb1 Pb 0.0424 0.4326 0.7514
Pb2 Pb 0.0930 0.2556 0.2402
```

The 12 most intense peaks (2θ = 15–90°), low angle first:
- (2 1 1), d = 3.200 Å, 2θ 27.88, intensity 100
- (3 0 1), d = 2.988 Å, 2θ 29.90, intensity 17
- (3 2 0), d = 2.706 Å, 2θ 33.11, intensity 21
- (4 -1 1), d = 2.665 Å, 2θ 33.63, intensity 39
- (1 4 0), d = 2.573 Å, 2θ 34.86, intensity 43
- (0 4 1), d = 2.482 Å, 2θ 36.19, intensity 10
- (0 0 2), d = 2.299 Å, 2θ 39.18, intensity 18
- (6 -4 1), d = 2.006 Å, 2θ 45.21, intensity 9
- (1 4 2), d = 1.715 Å, 2θ 53.44, intensity 22
- (4 4 1), d = 1.596 Å, 2θ 57.75, intensity 11
- (5 3 1), d = 1.582 Å, 2θ 58.33, intensity 13
- (2 1 3), d = 1.449 Å, 2θ 64.27, intensity 10